This entry pairs a crystal structure of Sc8MnNi2 with its theoretical X-ray diffraction stick pattern. Radiation: Cu Kα. Structure: a structure optimized by DFT (GGA-PBE).
Lines closer than 0.1° are merged.

The 10 most intense peaks (2θ = 10–80°), low angle first:
(1 1 0), 2θ = 22.28°, rel. 121
(0 3 1), 2θ = 36.23°, rel. 133
(1 1 4), 2θ = 37.28°, rel. 330
(1 2 3), 2θ = 37.75°, rel. 1000
(2 0 0), 2θ = 38.41°, rel. 358
(1 3 2), 2θ = 43.26°, rel. 95
(0 0 6), 2θ = 44.90°, rel. 101
(0 4 0), 2θ = 47.88°, rel. 86
(3 2 3), 2θ = 69.03°, rel. 144
(2 3 7), 2θ = 78.39°, rel. 84

Cell and atoms:
```
data_Sc8MnNi2
_symmetry_space_group_name_H-M 'I m m m'
_symmetry_Int_Tables_number 71
_symmetry_space_group_name_Hall '-I 2 2'
_cell_length_a 4.6872
_cell_length_b 7.5987
_cell_length_c 12.1130
_cell_angle_alpha 90.00
_cell_angle_beta 90.00
_cell_angle_gamma 90.00
loop_
_atom_site_label
_atom_site_fract_x
_atom_site_fract_y
_atom_site_fract_z
Sc1 0.0000 0.0000 0.1300
Sc2 0.0000 0.2223 0.3434
Sc3 0.0000 0.3302 0.0000
Mn1 0.0000 0.5000 0.5000
Ni1 0.0000 0.5000 0.2000
```